# 1
La6MnSb15: theoretical powder diffractogram (CuKα), based on a DFT-relaxed cell (PBE, the Materials Project).
Peak positions follow from Bragg's law for the DFT cell and can differ from measured ones.

Main lines, in order of rising 2θ (10° ≤ 2θ ≤ 90°):
| 2θ/deg | I/Imax |
| --- | --- |
| 24.61 | 23 |
| 26.73 | 15 |
| 28.33 | 25 |
| 29.13 | 18 |
| 30.43 | 74 |
| 33.82 | 100 |
| 41.75 | 30 |
| 43.03 | 21 |
| 46.83 | 18 |
| 61.51 | 15 |

Atomic structure:
Lattice parameters (Å, degrees): 16.105 20.007 4.327 90.00 105.51 90.00
Space group Cm (No. 8)
Inequivalent atoms, fractional coordinates:
La  0.000  0.133  0.000
La  0.135  0.322  0.136
La  0.276  0.135  0.271
Mn  0.353  0.500  0.855
Sb  0.047  0.500  0.048
Sb  0.137  0.199  0.636
Sb  0.146  0.000  0.136
Sb  0.240  0.500  0.244
Sb  0.280  0.381  0.780
Sb  0.281  0.000  0.770
Sb  0.356  0.295  0.359
Sb  0.425  0.199  0.925
Sb  0.467  0.500  0.466
Sb  0.491  0.103  0.496

***

# 2
PrS2: theoretical powder diffractogram (CuKα), based on a DFT-relaxed cell (PBE, the Materials Project).
Peak positions follow from Bragg's law for the DFT cell and can differ from measured ones.

Main lines, in order of rising 2θ (10° ≤ 2θ ≤ 90°):
| 2θ/deg | I/Imax |
| --- | --- |
| 21.70 | 44 |
| 24.34 | 77 |
| 24.46 | 82 |
| 31.05 | 72 |
| 32.81 | 32 |
| 32.97 | 30 |
| 38.20 | 100 |
| 39.72 | 52 |
| 44.63 | 25 |
| 51.48 | 21 |

Atomic structure:
Lattice parameters (Å, degrees): 8.192 4.086 8.122 90.00 90.10 90.00
Space group P2_1/c (No. 14)
Inequivalent atoms, fractional coordinates:
Pr  0.224  0.212  0.370
S  0.134  0.738  0.125
S  0.498  0.655  0.393

***

# 3
YMg6Ga: theoretical powder diffractogram (CuKα), based on a DFT-relaxed cell (PBE, the Materials Project).
Peak positions follow from Bragg's law for the DFT cell and can differ from measured ones.

Main lines, in order of rising 2θ (10° ≤ 2θ ≤ 90°):
| 2θ/deg | I/Imax |
| --- | --- |
| 14.89 | 42 |
| 17.45 | 30 |
| 23.02 | 31 |
| 32.85 | 42 |
| 34.96 | 72 |
| 35.33 | 42 |
| 37.44 | 100 |
| 49.01 | 26 |
| 64.81 | 19 |
| 67.22 | 19 |

Atomic structure:
Lattice parameters (Å, degrees): 5.081 6.134 11.897 90.00 90.00 90.00
Space group Amm2 (No. 38)
Inequivalent atoms, fractional coordinates:
Y  0.000  0.000  0.000
Mg  0.000  0.247  0.747
Mg  0.500  0.000  0.159
Mg  0.500  0.000  0.629
Mg  0.500  0.249  0.393
Ga  0.000  0.000  0.474